(1)
# Ta3Mo6W2
Theoretical powder X-ray diffraction pattern, Cu Kα. Input: a crystal structure in Alexandria, relaxed with GGA-PBE.
Neutral-atom scattering factors, no anomalous dispersion.

Top 10 peaks for 2θ = 10–80°, by intensity:
2θ = 42.32°, d = 2.135 Å, intensity 100; 2θ = 38.31°, d = 2.349 Å, intensity 59; 2θ = 38.70°, d = 2.327 Å, intensity 54; 2θ = 29.72°, d = 3.006 Å, intensity 35; 2θ = 68.77°, d = 1.365 Å, intensity 30; 2θ = 40.47°, d = 2.229 Å, intensity 29; 2θ = 34.23°, d = 2.620 Å, intensity 21; 2θ = 35.74°, d = 2.512 Å, intensity 20; 2θ = 47.72°, d = 1.906 Å, intensity 20; 2θ = 62.78°, d = 1.480 Å, intensity 19

Structural model:
```
Ta3Mo6W2
1.0
-2.5120 4.0919 4.6988
2.5120 -4.0919 4.6988
2.5120 4.0919 -4.6988
Ta Mo W
3 6 2
direct
0.0000 0.0000 0.0000
0.1924 0.5000 0.6924
0.8076 0.5000 0.3076
0.0615 0.2347 0.8268
0.2362 0.7362 0.5000
0.4079 0.2347 0.1732
0.5921 0.7653 0.8268
0.7638 0.2638 0.5000
0.9385 0.7653 0.1732
0.5000 0.2553 0.7553
0.5000 0.7447 0.2447
```



(2)
# YTa3Mo
Theoretical powder X-ray diffraction pattern, Cu Kα. Input: a crystal structure in Alexandria, relaxed with GGA-PBE.
Neutral-atom scattering factors, no anomalous dispersion.

Top 10 peaks for 2θ = 10–80°, by intensity:
2θ = 31.63°, d = 2.829 Å, intensity 100; 2θ = 36.68°, d = 2.450 Å, intensity 95; 2θ = 52.85°, d = 1.732 Å, intensity 67; 2θ = 62.91°, d = 1.477 Å, intensity 43; 2θ = 18.11°, d = 4.900 Å, intensity 36; 2θ = 66.06°, d = 1.414 Å, intensity 23; 2θ = 41.20°, d = 2.191 Å, intensity 18; 2θ = 78.01°, d = 1.225 Å, intensity 11; 2θ = 56.33°, d = 1.633 Å, intensity 9; 2θ = 69.12°, d = 1.359 Å, intensity 4

Structural model:
```
YTa3Mo
1.0
4.8997 0.0000 0.0000
0.0000 4.8997 0.0000
0.0000 0.0000 4.8997
Y Ta Mo
1 3 1
direct
0.0000 0.0000 0.0000
0.0000 0.5000 0.5000
0.5000 0.0000 0.5000
0.5000 0.5000 0.0000
0.5000 0.5000 0.5000
```



(3)
# Ta3ZnMo
Theoretical powder X-ray diffraction pattern, Cu Kα. Input: a crystal structure in Alexandria, relaxed with GGA-PBE.
Neutral-atom scattering factors, no anomalous dispersion.

Top 9 peaks for 2θ = 10–80°, by intensity:
2θ = 33.45°, d = 2.679 Å, intensity 100; 2θ = 38.82°, d = 2.320 Å, intensity 79; 2θ = 56.06°, d = 1.640 Å, intensity 54; 2θ = 66.88°, d = 1.399 Å, intensity 41; 2θ = 19.13°, d = 4.640 Å, intensity 21; 2θ = 70.28°, d = 1.339 Å, intensity 18; 2θ = 43.62°, d = 2.075 Å, intensity 11; 2θ = 59.80°, d = 1.547 Å, intensity 5; 2θ = 73.61°, d = 1.287 Å, intensity 2

Structural model:
```
Ta3ZnMo
1.0
4.6398 0.0000 0.0000
0.0000 4.6398 0.0000
0.0000 0.0000 4.6398
Ta Zn Mo
3 1 1
direct
0.0000 0.0000 0.5000
0.0000 0.5000 0.0000
0.5000 0.0000 0.0000
0.0000 0.0000 0.0000
0.5000 0.5000 0.5000
```



(4)
# Zr2TaMo2
Theoretical powder X-ray diffraction pattern, Cu Kα. Input: a crystal structure in Alexandria, relaxed with GGA-PBE.
Neutral-atom scattering factors, no anomalous dispersion.

Top 10 peaks for 2θ = 10–80°, by intensity:
2θ = 36.05°, d = 2.491 Å, intensity 100; 2θ = 33.37°, d = 2.685 Å, intensity 54; 2θ = 42.87°, d = 2.109 Å, intensity 53; 2θ = 59.94°, d = 1.543 Å, intensity 39; 2θ = 39.82°, d = 2.264 Å, intensity 38; 2θ = 19.61°, d = 4.528 Å, intensity 26; 2θ = 47.55°, d = 1.912 Å, intensity 24; 2θ = 27.30°, d = 3.266 Å, intensity 22; 2θ = 38.16°, d = 2.358 Å, intensity 17; 2θ = 69.85°, d = 1.347 Å, intensity 14

Structural model:
```
Zr2TaMo2
1.0
6.6707 0.0000 0.0000
0.0000 6.6707 0.0000
0.0000 0.0000 4.5275
Zr Ta Mo
4 2 4
direct
0.1755 0.3245 0.0000
0.3245 0.8245 0.0000
0.6755 0.1755 0.0000
0.8245 0.6755 0.0000
0.0000 0.0000 0.5000
0.5000 0.5000 0.5000
0.1357 0.6357 0.5000
0.3643 0.1357 0.5000
0.6357 0.8643 0.5000
0.8643 0.3643 0.5000
```



(5)
# ZrTa4Mo
Theoretical powder X-ray diffraction pattern, Cu Kα. Input: a crystal structure in Alexandria, relaxed with GGA-PBE.
Neutral-atom scattering factors, no anomalous dispersion.

Top 10 peaks for 2θ = 10–80°, by intensity:
2θ = 38.62°, d = 2.332 Å, intensity 100; 2θ = 40.41°, d = 2.232 Å, intensity 62; 2θ = 19.89°, d = 4.465 Å, intensity 35; 2θ = 62.40°, d = 1.488 Å, intensity 33; 2θ = 68.66°, d = 1.367 Å, intensity 31; 2θ = 47.00°, d = 1.933 Å, intensity 16; 2θ = 32.76°, d = 2.734 Å, intensity 12; 2θ = 51.51°, d = 1.774 Å, intensity 9; 2θ = 72.29°, d = 1.307 Å, intensity 7; 2θ = 58.47°, d = 1.578 Å, intensity 4

Structural model:
```
ZrTa4Mo
1.0
0.0000 3.8664 3.8664
3.8664 0.0000 3.8664
3.8664 3.8664 0.0000
Zr Ta Mo
1 4 1
direct
0.0000 0.0000 0.0000
0.3749 0.3749 0.3749
0.3749 0.3749 0.8753
0.3749 0.8753 0.3749
0.8753 0.3749 0.3749
0.7500 0.7500 0.7500
```



(6)
# TbTiMo4
Theoretical powder X-ray diffraction pattern, Cu Kα. Input: a crystal structure in Alexandria, relaxed with GGA-PBE.
Neutral-atom scattering factors, no anomalous dispersion.

Top 10 peaks for 2θ = 10–80°, by intensity:
2θ = 39.19°, d = 2.299 Å, intensity 100; 2θ = 41.01°, d = 2.201 Å, intensity 40; 2θ = 63.40°, d = 1.467 Å, intensity 31; 2θ = 33.24°, d = 2.695 Å, intensity 27; 2θ = 69.78°, d = 1.348 Å, intensity 25; 2θ = 20.17°, d = 4.402 Å, intensity 13; 2θ = 59.39°, d = 1.556 Å, intensity 10; 2θ = 23.34°, d = 3.812 Å, intensity 9; 2θ = 79.52°, d = 1.205 Å, intensity 4; 2θ = 53.77°, d = 1.705 Å, intensity 4

Structural model:
```
TbTiMo4
1.0
0.0000 3.8119 3.8119
3.8119 0.0000 3.8119
3.8119 3.8119 0.0000
Tb Ti Mo
1 1 4
direct
0.0000 0.0000 0.0000
0.2500 0.2500 0.2500
0.1251 0.6250 0.6250
0.6250 0.1251 0.6250
0.6250 0.6250 0.1251
0.6250 0.6250 0.6250
```



(7)
# TbMoW
Theoretical powder X-ray diffraction pattern, Cu Kα. Input: a crystal structure in Alexandria, relaxed with GGA-PBE.
Neutral-atom scattering factors, no anomalous dispersion.

Top 10 peaks for 2θ = 10–80°, by intensity:
2θ = 44.26°, d = 2.047 Å, intensity 100; 2θ = 40.87°, d = 2.208 Å, intensity 79; 2θ = 35.36°, d = 2.538 Å, intensity 74; 2θ = 36.54°, d = 2.459 Å, intensity 72; 2θ = 20.38°, d = 4.359 Å, intensity 66; 2θ = 34.78°, d = 2.580 Å, intensity 51; 2θ = 31.82°, d = 2.812 Å, intensity 37; 2θ = 36.92°, d = 2.435 Å, intensity 36; 2θ = 40.46°, d = 2.230 Å, intensity 31; 2θ = 59.81°, d = 1.546 Å, intensity 30

Structural model:
```
TbMoW
1.0
0.0000 4.8858 10.3183
2.5057 0.0000 10.3183
2.5057 4.8858 0.0000
Tb Mo W
4 4 4
direct
0.0342 0.7158 0.0342
0.2842 0.9658 0.2842
0.7158 0.0342 0.7158
0.9658 0.2842 0.9658
0.2865 0.2865 0.4635
0.4635 0.4635 0.2865
0.5365 0.5365 0.7135
0.7135 0.7135 0.5365
0.0007 0.0007 0.2493
0.2493 0.2493 0.0007
0.7507 0.7507 0.9993
0.9993 0.9993 0.7507
```



(8)
# TcMo3
Theoretical powder X-ray diffraction pattern, Cu Kα. Input: a crystal structure in Alexandria, relaxed with GGA-PBE.
Neutral-atom scattering factors, no anomalous dispersion.

Top 4 peaks for 2θ = 10–80°, by intensity:
2θ = 40.55°, d = 2.225 Å, intensity 100; 2θ = 73.74°, d = 1.285 Å, intensity 22; 2θ = 58.70°, d = 1.573 Å, intensity 16; 2θ = 73.86°, d = 1.283 Å, intensity 11

Structural model:
```
TcMo3
1.0
1.5741 -2.2212 0.0000
1.5741 2.2212 0.0000
0.0000 0.0000 8.9047
Tc Mo
1 3
direct
0.0000 0.0000 0.0000
0.0000 0.0000 0.5000
0.5000 0.5000 0.2475
0.5000 0.5000 0.7525
```



Copy entry 4 word for word.
# Zr2TaMo2
Theoretical powder X-ray diffraction pattern, Cu Kα. Input: a crystal structure in Alexandria, relaxed with GGA-PBE.
Neutral-atom scattering factors, no anomalous dispersion.

Top 10 peaks for 2θ = 10–80°, by intensity:
2θ = 36.05°, d = 2.491 Å, intensity 100; 2θ = 33.37°, d = 2.685 Å, intensity 54; 2θ = 42.87°, d = 2.109 Å, intensity 53; 2θ = 59.94°, d = 1.543 Å, intensity 39; 2θ = 39.82°, d = 2.264 Å, intensity 38; 2θ = 19.61°, d = 4.528 Å, intensity 26; 2θ = 47.55°, d = 1.912 Å, intensity 24; 2θ = 27.30°, d = 3.266 Å, intensity 22; 2θ = 38.16°, d = 2.358 Å, intensity 17; 2θ = 69.85°, d = 1.347 Å, intensity 14

Structural model:
```
Zr2TaMo2
1.0
6.6707 0.0000 0.0000
0.0000 6.6707 0.0000
0.0000 0.0000 4.5275
Zr Ta Mo
4 2 4
direct
0.1755 0.3245 0.0000
0.3245 0.8245 0.0000
0.6755 0.1755 0.0000
0.8245 0.6755 0.0000
0.0000 0.0000 0.5000
0.5000 0.5000 0.5000
0.1357 0.6357 0.5000
0.3643 0.1357 0.5000
0.6357 0.8643 0.5000
0.8643 0.3643 0.5000
```